The following is a simulated powder X-ray diffraction pattern of Sr2VP3O12. It was derived from a cell relaxed with PBE+U, using Cu Kα (weighted mean of Kα1 and Kα2).
Lines closer than 0.1° are merged.

Cell and atoms:
Cell: 8.2779 8.2779 9.1178 Å, 113.49 113.49 96.81°
Fractional coordinates of all 36 atoms:
Sr 0.0580 0.6542 0.8216
Sr 0.3458 0.9420 0.6784
Sr 0.6542 0.0580 0.3216
Sr 0.9420 0.3458 0.1784
V 0.5000 0.5000 0.0000
V 0.5000 0.5000 0.5000
P 0.1811 0.3009 0.5562
P 0.2996 0.7004 0.2500
P 0.3009 0.1811 0.0562
P 0.6991 0.8189 0.9438
P 0.7004 0.2996 0.7500
P 0.8189 0.6991 0.4438
O 0.0204 0.6963 0.5199
O 0.0965 0.6243 0.1869
O 0.1187 0.2077 0.0337
O 0.2077 0.1187 0.5337
O 0.2577 0.3823 0.4540
O 0.3009 0.4575 0.7679
O 0.3037 0.9796 0.9801
O 0.3519 0.5933 0.0957
O 0.3757 0.9035 0.3131
O 0.3823 0.2577 0.9540
O 0.4067 0.6481 0.4043
O 0.4575 0.3009 0.2679
O 0.5425 0.6991 0.7321
O 0.5933 0.3519 0.5957
O 0.6177 0.7423 0.0460
O 0.6243 0.0965 0.6869
O 0.6481 0.4067 0.9043
O 0.6963 0.0204 0.0199
O 0.6991 0.5425 0.2321
O 0.7423 0.6177 0.5460
O 0.7923 0.8813 0.4663
O 0.8813 0.7923 0.9663
O 0.9035 0.3757 0.8131
O 0.9796 0.3037 0.4801

Largest 10 diffraction maxima, low angle first, 5 to 70 degrees two-theta:
2theta  I/Imax
12.4  40
18.8  35
23.8  47
26.1  100
28.4  83
29.5  26
31.4  87
32.6  42
33.3  39
37.7  27